[1]
Theoretical XRD peak list
Compound: Ti8C4O
Radiation: λ = 1.5418 Å (Cu Kα)
Structure: DFT lattice parameters and positions (GGA-PBE)
Kinematic intensities with the Lorentz-polarization factor, no thermal factor.

Structural model:
Cell lengths 6.158, 6.158, 6.158 Å; angles 60.00, 60.00, 60.00 degrees
Fractional positions:
Ti1 0.381 0.381 0.381
Ti2 0.381 0.381 0.858
Ti3 0.381 0.858 0.381
Ti4 0.389 0.870 0.870
Ti5 0.858 0.381 0.381
Ti6 0.870 0.389 0.870
Ti7 0.870 0.870 0.389
Ti8 0.870 0.870 0.870
C1 0.126 0.625 0.625
C2 0.625 0.126 0.625
C3 0.625 0.625 0.126
C4 0.625 0.625 0.625
O1 0.000 0.000 0.000

Main lines, by angle (5° ≤ 2θ ≤ 70°):
- 17.64 deg, rel. 66
- 20.39 deg, rel. 12
- 29.00 deg, rel. 9
- 34.15 deg, rel. 26
- 35.71 deg, rel. 1000
- 41.47 deg, rel. 679
- 54.77 deg, rel. 39
- 60.10 deg, rel. 451



[2]
Theoretical XRD peak list
Compound: Ti9C2O14
Radiation: λ = 1.5418 Å (Cu Kα)
Structure: DFT lattice parameters and positions (GGA-PBE)
Kinematic intensities with the Lorentz-polarization factor, no thermal factor.

Structural model:
Cell lengths 6.033, 6.033, 8.103 Å; angles 90.00, 90.00, 120.00 degrees
Fractional positions:
Ti1 0.000 0.000 0.000
Ti2 0.060 0.342 0.344
Ti3 0.282 0.940 0.344
Ti4 0.333 0.667 0.000
Ti5 0.342 0.282 0.656
Ti6 0.658 0.718 0.344
Ti7 0.667 0.333 0.000
Ti8 0.718 0.060 0.656
Ti9 0.940 0.658 0.656
C1 0.333 0.667 0.247
C2 0.667 0.333 0.753
O1 0.000 0.000 0.261
O2 0.000 0.000 0.739
O3 0.061 0.378 0.592
O4 0.076 0.713 0.900
O5 0.287 0.364 0.900
O6 0.317 0.939 0.592
O7 0.364 0.076 0.100
O8 0.378 0.317 0.408
O9 0.622 0.683 0.592
O10 0.636 0.924 0.900
O11 0.683 0.061 0.408
O12 0.713 0.636 0.100
O13 0.924 0.287 0.100
O14 0.939 0.622 0.408

Main lines, by angle (5° ≤ 2θ ≤ 70°):
- 31.65 deg, rel. 1000
- 33.17 deg, rel. 321
- 37.16 deg, rel. 123
- 47.39 deg, rel. 155
- 52.55 deg, rel. 320
- 54.57 deg, rel. 406
- 63.57 deg, rel. 152
- 65.40 deg, rel. 180



[3]
Theoretical XRD peak list
Compound: Ti8CO3
Radiation: λ = 1.5418 Å (Cu Kα)
Structure: DFT lattice parameters and positions (GGA-PBE)
Kinematic intensities with the Lorentz-polarization factor, no thermal factor.

Structural model:
Cell lengths 5.932, 5.932, 5.932 Å; angles 61.35, 61.35, 61.35 degrees
Fractional positions:
Ti1 0.249 0.249 0.249
Ti2 0.251 0.747 0.747
Ti3 0.253 0.253 0.749
Ti4 0.253 0.749 0.253
Ti5 0.747 0.251 0.747
Ti6 0.747 0.747 0.251
Ti7 0.749 0.253 0.253
Ti8 0.751 0.751 0.751
C1 0.500 0.500 0.500
O1 0.000 0.000 0.500
O2 0.000 0.500 0.000
O3 0.500 0.000 0.000

Main lines, by angle (5° ≤ 2θ ≤ 70°):
- 18.51 deg, rel. 97
- 34.79 deg, rel. 32
- 36.49 deg, rel. 862
- 37.52 deg, rel. 264
- 42.69 deg, rel. 1000
- 56.95 deg, rel. 11
- 61.26 deg, rel. 297
- 62.67 deg, rel. 274



[4]
Theoretical XRD peak list
Compound: Ti4CO
Radiation: λ = 1.5418 Å (Cu Kα)
Structure: DFT lattice parameters and positions (GGA-PBE)
Kinematic intensities with the Lorentz-polarization factor, no thermal factor.

Structural model:
Cell lengths 5.278, 4.850, 5.959 Å; angles 90.00, 90.00, 90.00 degrees
Fractional positions:
Ti1 0.166 0.239 0.000
Ti2 0.166 0.261 0.500
Ti3 0.330 0.745 0.249
Ti4 0.330 0.755 0.749
Ti5 0.670 0.245 0.749
Ti6 0.670 0.255 0.249
Ti7 0.834 0.739 0.500
Ti8 0.834 0.761 0.000
C1 0.500 0.000 0.000
C2 0.500 0.500 0.500
O1 0.000 0.000 0.745
O2 0.000 0.500 0.245

Main lines, by angle (5° ≤ 2θ ≤ 70°):
- 34.57 deg, rel. 118
- 37.08 deg, rel. 288
- 38.85 deg, rel. 504
- 39.38 deg, rel. 1000
- 51.16 deg, rel. 118
- 51.59 deg, rel. 213
- 61.17 deg, rel. 199
- 68.37 deg, rel. 162



[5]
Theoretical XRD peak list
Compound: Ti6C2O3
Radiation: λ = 1.5418 Å (Cu Kα)
Structure: DFT lattice parameters and positions (GGA-PBE)
Kinematic intensities with the Lorentz-polarization factor, no thermal factor.

Structural model:
Cell lengths 5.121, 5.121, 5.223 Å; angles 90.00, 90.00, 120.00 degrees
Fractional positions:
Ti1 0.000 0.340 0.240
Ti2 0.000 0.660 0.760
Ti3 0.340 0.000 0.240
Ti4 0.340 0.340 0.760
Ti5 0.660 0.000 0.760
Ti6 0.660 0.660 0.240
C1 0.333 0.667 0.000
C2 0.667 0.333 0.000
O1 0.000 0.000 0.000
O2 0.333 0.667 0.500
O3 0.667 0.333 0.500

Main lines, by angle (5° ≤ 2θ ≤ 70°):
- 20.02 deg, rel. 19
- 26.36 deg, rel. 26
- 34.34 deg, rel. 181
- 35.04 deg, rel. 58
- 39.18 deg, rel. 1000
- 49.88 deg, rel. 332
- 62.86 deg, rel. 210
- 64.75 deg, rel. 192



[6]
Theoretical XRD peak list
Compound: Tl3C2O6
Radiation: λ = 1.5418 Å (Cu Kα)
Structure: DFT lattice parameters and positions (GGA-PBE)
Kinematic intensities with the Lorentz-polarization factor, no thermal factor.

Structural model:
Cell lengths 5.577, 7.251, 9.735 Å; angles 90.00, 90.00, 90.00 degrees
Fractional positions:
Tl1 0.000 0.000 0.000
Tl2 0.000 0.500 0.187
Tl3 0.000 0.500 0.813
Tl4 0.500 0.000 0.313
Tl5 0.500 0.000 0.687
Tl6 0.500 0.500 0.500
C1 0.024 0.230 0.500
C2 0.476 0.730 0.000
C3 0.524 0.270 0.000
C4 0.976 0.770 0.500
O1 0.138 0.251 0.385
O2 0.138 0.251 0.615
O3 0.204 0.806 0.500
O4 0.296 0.306 0.000
O5 0.362 0.751 0.115
O6 0.362 0.751 0.885
O7 0.638 0.249 0.115
O8 0.638 0.249 0.885
O9 0.704 0.694 0.000
O10 0.796 0.194 0.500
O11 0.862 0.749 0.385
O12 0.862 0.749 0.615

Main lines, by angle (5° ≤ 2θ ≤ 70°):
- 18.33 deg, rel. 427
- 24.55 deg, rel. 308
- 27.25 deg, rel. 1000
- 30.17 deg, rel. 504
- 30.81 deg, rel. 568
- 40.83 deg, rel. 274
- 44.63 deg, rel. 380
- 44.91 deg, rel. 268



[7]
Theoretical XRD peak list
Compound: TlCO4
Radiation: λ = 1.5418 Å (Cu Kα)
Structure: DFT lattice parameters and positions (GGA-PBE)
Kinematic intensities with the Lorentz-polarization factor, no thermal factor.

Structural model:
Cell lengths 4.994, 6.097, 4.167 Å; angles 90.00, 90.00, 90.00 degrees
Fractional positions:
Tl1 0.250 0.250 0.000
Tl2 0.750 0.750 0.000
C1 0.250 0.750 0.500
C2 0.750 0.250 0.500
O1 0.095 0.616 0.300
O2 0.095 0.884 0.700
O3 0.405 0.616 0.700
O4 0.405 0.884 0.300
O5 0.595 0.116 0.700
O6 0.595 0.384 0.300
O7 0.905 0.116 0.300
O8 0.905 0.384 0.700

Main lines, by angle (5° ≤ 2θ ≤ 70°):
- 21.32 deg, rel. 368
- 23.02 deg, rel. 581
- 29.30 deg, rel. 262
- 31.58 deg, rel. 1000
- 36.52 deg, rel. 261
- 49.71 deg, rel. 261
- 52.19 deg, rel. 189
- 53.41 deg, rel. 195



[8]
Theoretical XRD peak list
Compound: Tl4CO5
Radiation: λ = 1.5418 Å (Cu Kα)
Structure: DFT lattice parameters and positions (GGA-PBE)
Kinematic intensities with the Lorentz-polarization factor, no thermal factor.

Structural model:
Cell lengths 7.611, 7.611, 8.308 Å; angles 90.00, 90.00, 65.37 degrees
Fractional positions:
Tl1 0.101 0.899 0.500
Tl2 0.178 0.361 0.461
Tl3 0.296 0.704 0.155
Tl4 0.361 0.178 0.961
Tl5 0.639 0.822 0.461
Tl6 0.704 0.296 0.655
Tl7 0.822 0.639 0.961
Tl8 0.899 0.101 0.000
C1 0.361 0.639 0.825
C2 0.639 0.361 0.325
O1 0.103 0.652 0.317
O2 0.250 0.575 0.903
O3 0.348 0.897 0.317
O4 0.405 0.595 0.676
O5 0.425 0.750 0.903
O6 0.575 0.250 0.403
O7 0.595 0.405 0.176
O8 0.652 0.103 0.817
O9 0.750 0.425 0.403
O10 0.897 0.348 0.817

Main lines, by angle (5° ≤ 2θ ≤ 70°):
- 16.68 deg, rel. 166
- 21.39 deg, rel. 196
- 25.56 deg, rel. 222
- 25.78 deg, rel. 126
- 27.92 deg, rel. 1000
- 31.97 deg, rel. 150
- 41.81 deg, rel. 194
- 57.71 deg, rel. 135



[9]
Theoretical XRD peak list
Compound: Tl3CO6
Radiation: λ = 1.5418 Å (Cu Kα)
Structure: DFT lattice parameters and positions (GGA-PBE)
Kinematic intensities with the Lorentz-polarization factor, no thermal factor.

Structural model:
Cell lengths 7.022, 7.022, 6.112 Å; angles 90.00, 90.00, 101.11 degrees
Fractional positions:
Tl1 0.093 0.907 0.500
Tl2 0.188 0.407 0.494
Tl3 0.407 0.188 0.994
Tl4 0.593 0.812 0.494
Tl5 0.812 0.593 0.994
Tl6 0.907 0.093 0.000
C1 0.341 0.659 0.932
C2 0.659 0.341 0.432
O1 0.162 0.163 0.737
O2 0.163 0.162 0.237
O3 0.163 0.582 0.881
O4 0.285 0.715 0.402
O5 0.418 0.837 0.881
O6 0.450 0.550 0.025
O7 0.550 0.450 0.525
O8 0.582 0.163 0.381
O9 0.715 0.285 0.902
O10 0.837 0.418 0.381
O11 0.837 0.838 0.737
O12 0.838 0.837 0.237

Main lines, by angle (5° ≤ 2θ ≤ 70°):
- 19.41 deg, rel. 285
- 29.22 deg, rel. 350
- 29.77 deg, rel. 1000
- 30.42 deg, rel. 287
- 31.18 deg, rel. 205
- 43.26 deg, rel. 240
- 44.68 deg, rel. 175
- 52.17 deg, rel. 319



[10]
Theoretical XRD peak list
Compound: UTl4C3O11
Radiation: λ = 1.5418 Å (Cu Kα)
Structure: DFT lattice parameters and positions (GGA-PBE)
Kinematic intensities with the Lorentz-polarization factor, no thermal factor.

Structural model:
Cell lengths 7.236, 7.236, 13.072 Å; angles 93.54, 93.54, 81.99 degrees
Fractional positions:
U1 0.204 0.796 0.750
U2 0.796 0.204 0.250
Tl1 0.045 0.328 0.850
Tl2 0.199 0.588 0.446
Tl3 0.328 0.045 0.350
Tl4 0.412 0.801 0.054
Tl5 0.588 0.199 0.946
Tl6 0.672 0.955 0.650
Tl7 0.801 0.412 0.554
Tl8 0.955 0.672 0.150
C1 0.066 0.161 0.091
C2 0.161 0.066 0.591
C3 0.492 0.508 0.250
C4 0.508 0.492 0.750
C5 0.839 0.934 0.409
C6 0.934 0.839 0.909
O1 0.048 0.077 0.667
O2 0.049 0.644 0.679
O3 0.077 0.048 0.167
O4 0.086 0.716 0.912
O5 0.151 0.191 0.526
O6 0.191 0.151 0.026
O7 0.284 0.914 0.588
O8 0.356 0.951 0.821
O9 0.358 0.642 0.250
O10 0.386 0.520 0.822
O11 0.480 0.614 0.678
O12 0.520 0.386 0.322
O13 0.614 0.480 0.178
O14 0.642 0.358 0.750
O15 0.644 0.049 0.179
O16 0.716 0.086 0.412
O17 0.809 0.849 0.974
O18 0.849 0.809 0.474
O19 0.914 0.284 0.088
O20 0.923 0.952 0.833
O21 0.951 0.356 0.321
O22 0.952 0.923 0.333

Main lines, by angle (5° ≤ 2θ ≤ 70°):
- 17.92 deg, rel. 396
- 18.69 deg, rel. 342
- 24.54 deg, rel. 1000
- 26.18 deg, rel. 709
- 26.66 deg, rel. 767
- 30.82 deg, rel. 474
- 32.22 deg, rel. 586
- 36.82 deg, rel. 323



Q: What is the formula in the sixth record?
A: Tl3C2O6